[1]
Diffraction record for Sc2Fe3Si. The powder XRD pattern is calculated, not measured: it uses a cell relaxed with PBE and a wavelength of 1.5418 Å.
Intensities are scaled so that the largest is 100.

Crystal structure
```
Sc2Fe3Si
1.0
8.078 0.000 0.000
0.000 2.485 4.246
0.000 -2.485 4.246
Sc Fe Si
4 6 2
Direct
0.185 0.000 0.000
0.307 0.662 0.662
0.693 0.662 0.662
0.815 0.000 0.000
0.000 0.502 0.502
0.000 0.502 0.996
0.000 0.996 0.502
0.249 0.331 0.331
0.500 0.164 0.164
0.751 0.331 0.331
0.500 0.162 0.666
0.500 0.666 0.162
```

Largest 10 diffraction maxima, sorted by position, 2θ from 10° to 90°:
Position (°2θ)  I (rel.)
10.95  22.1
39.51  59.8
42.72  35.4
43.05  100.0
43.66  69.8
44.10  36.1
44.88  28.9
48.03  24.2
49.94  21.0
69.78  24.2



[2]
Diffraction record for Dy3TaO7. The powder XRD pattern is calculated, not measured: it uses a cell relaxed with PBE and a wavelength of 1.5418 Å.
Intensities are scaled so that the largest is 100.

Crystal structure
```
Dy3TaO7
1.0
5.307 -3.693 0.000
5.307 3.693 0.000
0.000 0.000 7.529
Dy Ta O
6 2 14
Direct
0.000 0.000 0.000
0.000 0.000 0.500
0.054 0.485 0.750
0.485 0.054 0.250
0.515 0.946 0.750
0.946 0.515 0.250
0.500 0.500 0.000
0.500 0.500 0.500
0.113 0.152 0.250
0.152 0.113 0.750
0.178 0.564 0.034
0.178 0.564 0.466
0.423 0.577 0.750
0.436 0.822 0.034
0.436 0.822 0.466
0.564 0.178 0.534
0.564 0.178 0.966
0.577 0.423 0.250
0.822 0.436 0.534
0.822 0.436 0.966
0.848 0.887 0.250
0.887 0.848 0.750
```

Largest 10 diffraction maxima, sorted by position, 2θ from 10° to 90°:
Position (°2θ)  I (rel.)
29.08  100.0
29.47  96.4
33.78  24.5
34.01  48.7
48.36  17.2
48.69  52.5
57.62  40.9
57.79  11.6
58.31  23.5
60.29  10.7



[3]
Diffraction record for NaMo3. The powder XRD pattern is calculated, not measured: it uses a cell relaxed with PBE and a wavelength of 1.5418 Å.
Intensities are scaled so that the largest is 100.

Crystal structure
```
NaMo3
1.0
0.000 3.205 3.205
3.205 0.000 3.205
3.205 3.205 0.000
Na Mo
1 3
Direct
0.000 0.000 0.000
0.250 0.250 0.250
0.500 0.500 0.500
0.750 0.750 0.750
```

Largest 10 diffraction maxima, sorted by position, 2θ from 10° to 90°:
Position (°2θ)  I (rel.)
24.05  13.7
27.84  7.1
39.78  100.0
47.02  6.5
57.51  16.2
63.24  2.7
65.08  2.5
72.20  32.6
77.36  2.1
85.74  10.6



[4]
Diffraction record for Lu2CoOs. The powder XRD pattern is calculated, not measured: it uses a cell relaxed with PBE and a wavelength of 1.5418 Å.
Intensities are scaled so that the largest is 100.

Crystal structure
```
Lu2CoOs
1.0
0.000 3.300 3.300
3.300 0.000 3.300
3.300 3.300 0.000
Lu Co Os
2 1 1
Direct
0.250 0.250 0.250
0.750 0.750 0.750
0.000 0.000 0.000
0.500 0.500 0.500
```

Largest 10 diffraction maxima, sorted by position, 2θ from 10° to 90°:
Position (°2θ)  I (rel.)
23.34  10.3
27.02  3.4
38.58  100.0
45.58  5.6
55.70  17.3
61.21  2.5
69.80  35.0
74.73  1.9
82.70  11.2
87.41  2.0



[5]
Diffraction record for Si2N2O. The powder XRD pattern is calculated, not measured: it uses a cell relaxed with PBE and a wavelength of 1.5418 Å.
Intensities are scaled so that the largest is 100.

Crystal structure
```
Si2N2O
1.0
5.493 0.000 0.000
-2.746 4.757 0.000
0.000 0.000 13.479
Si N O
16 16 8
Direct
0.000 0.000 0.000
0.000 0.000 0.371
0.000 0.000 0.629
0.000 0.500 0.500
0.168 0.337 0.165
0.168 0.832 0.165
0.333 0.667 0.330
0.333 0.667 0.955
0.337 0.168 0.835
0.500 0.000 0.500
0.500 0.500 0.500
0.663 0.832 0.165
0.667 0.333 0.045
0.667 0.333 0.670
0.832 0.168 0.835
0.832 0.663 0.835
0.000 0.000 0.241
0.000 0.000 0.759
0.157 0.314 0.913
0.157 0.843 0.913
0.176 0.352 0.416
0.176 0.824 0.416
0.314 0.157 0.087
0.333 0.667 0.087
0.352 0.176 0.584
0.648 0.824 0.416
0.667 0.333 0.913
0.686 0.843 0.913
0.824 0.176 0.584
0.824 0.648 0.584
0.843 0.157 0.087
0.843 0.686 0.087
0.043 0.521 0.242
0.333 0.667 0.563
0.479 0.521 0.242
0.479 0.957 0.242
0.521 0.043 0.758
0.521 0.479 0.758
0.667 0.333 0.437
0.957 0.479 0.758
```

Largest 10 diffraction maxima, sorted by position, 2θ from 10° to 90°:
Position (°2θ)  I (rel.)
19.79  72.2
27.30  8.9
32.58  22.5
38.41  100.0
46.75  67.2
62.03  31.1
62.07  12.9
68.26  73.2
81.18  9.1
86.86  7.8



[6]
Diffraction record for RuN5Cl3. The powder XRD pattern is calculated, not measured: it uses a cell relaxed with PBE and a wavelength of 1.5418 Å.
Intensities are scaled so that the largest is 100.

Crystal structure
```
RuN5Cl3
1.0
16.769 0.000 0.000
0.000 5.998 0.000
0.000 0.000 7.881
Ru N Cl
4 20 12
Direct
0.142 0.250 0.183
0.358 0.750 0.683
0.642 0.250 0.317
0.858 0.750 0.817
0.061 0.750 0.652
0.082 0.530 0.204
0.082 0.970 0.204
0.191 0.250 0.995
0.210 0.250 0.343
0.290 0.750 0.843
0.309 0.750 0.495
0.418 0.030 0.704
0.418 0.470 0.704
0.439 0.250 0.152
0.561 0.750 0.848
0.582 0.530 0.296
0.582 0.970 0.296
0.691 0.250 0.505
0.710 0.250 0.157
0.790 0.750 0.657
0.809 0.750 0.005
0.918 0.030 0.796
0.918 0.470 0.796
0.939 0.250 0.348
0.089 0.750 0.096
0.119 0.520 0.648
0.119 0.980 0.648
0.381 0.020 0.148
0.381 0.480 0.148
0.411 0.250 0.596
0.589 0.750 0.404
0.619 0.520 0.852
0.619 0.980 0.852
0.881 0.020 0.352
0.881 0.480 0.352
0.911 0.250 0.904
```

Largest 10 diffraction maxima, sorted by position, 2θ from 10° to 90°:
Position (°2θ)  I (rel.)
15.43  57.6
18.19  25.8
18.59  70.1
21.19  100.0
23.19  66.5
25.93  44.8
27.70  70.2
28.34  25.2
33.72  62.8
45.85  28.6